Record 1
# LiFePO4
Theoretical XRD peak list, copper Kα. Input: a structure optimized by DFT (PBE+U).
Peak positions follow from Bragg's law for the DFT cell and can differ from measured ones.

```
data_LiFePO4
_chemical_formula_sum 'Li6 Fe6 P6 O24'
_cell_length_a 7.437
_cell_length_b 7.437
_cell_length_c 9.616
_cell_angle_alpha 90.00
_cell_angle_beta 90.00
_cell_angle_gamma 120.00
_space_group_name_H-M_alt 'P 1'
_space_group_IT_number 1
loop_
_space_group_symop_operation_xyz
'x,y,z'
loop_
_atom_site_label
_atom_site_type_symbol
_atom_site_fract_x
_atom_site_fract_y
_atom_site_fract_z
_atom_site_occupancy
Li1 Li 0.051 0.258 0.000 1
Li2 Li 0.206 0.949 0.000 1
Li3 Li 0.258 0.051 0.500 1
Li4 Li 0.742 0.794 0.000 1
Li5 Li 0.794 0.742 0.500 1
Li6 Li 0.949 0.206 0.500 1
Fe1 Fe 0.073 0.596 0.227 1
Fe2 Fe 0.404 0.477 0.227 1
Fe3 Fe 0.477 0.404 0.727 1
Fe4 Fe 0.523 0.927 0.227 1
Fe5 Fe 0.596 0.073 0.727 1
Fe6 Fe 0.927 0.523 0.727 1
P1 P 0.000 0.000 0.248 1
P2 P 0.000 0.000 0.748 1
P3 P 0.333 0.667 0.528 1
P4 P 0.333 0.667 0.919 1
P5 P 0.667 0.333 0.028 1
P6 P 0.667 0.333 0.419 1
O1 O 0.000 0.000 0.409 1
O2 O 0.000 0.000 0.909 1
O3 O 0.102 0.876 0.190 1
O4 O 0.114 0.499 0.574 1
O5 O 0.124 0.226 0.190 1
O6 O 0.161 0.711 0.871 1
O7 O 0.226 0.124 0.690 1
O8 O 0.289 0.450 0.871 1
O9 O 0.333 0.667 0.085 1
O10 O 0.333 0.667 0.360 1
O11 O 0.385 0.886 0.574 1
O12 O 0.450 0.289 0.371 1
O13 O 0.499 0.114 0.074 1
O14 O 0.501 0.615 0.574 1
O15 O 0.550 0.839 0.871 1
O16 O 0.615 0.501 0.074 1
O17 O 0.667 0.333 0.585 1
O18 O 0.667 0.333 0.860 1
O19 O 0.711 0.161 0.371 1
O20 O 0.774 0.898 0.190 1
O21 O 0.839 0.550 0.371 1
O22 O 0.876 0.102 0.690 1
O23 O 0.886 0.385 0.074 1
O24 O 0.898 0.774 0.690 1
```

Principal peaks in the range 2θ = 5–70°, in order of rising 2θ:
- 2θ = 13.75°, rel. 46.0
- 2θ = 18.45°, rel. 70.9
- 2θ = 23.93°, rel. 80.1
- 2θ = 27.70°, rel. 46.0
- 2θ = 30.39°, rel. 86.0
- 2θ = 31.17°, rel. 81.0
- 2θ = 33.49°, rel. 100.0
- 2θ = 38.13°, rel. 41.5

---

Record 2
# LiFe2P3O13
Theoretical XRD peak list, copper Kα. Input: a structure optimized by DFT (PBE+U).
Peak positions follow from Bragg's law for the DFT cell and can differ from measured ones.

```
data_LiFe2P3O13
_chemical_formula_sum 'Li2 Fe4 P6 O26'
_cell_length_a 6.382
_cell_length_b 7.797
_cell_length_c 10.927
_cell_angle_alpha 74.76
_cell_angle_beta 85.20
_cell_angle_gamma 79.97
_space_group_name_H-M_alt 'P 1'
_space_group_IT_number 1
loop_
_space_group_symop_operation_xyz
'x,y,z'
loop_
_atom_site_label
_atom_site_type_symbol
_atom_site_fract_x
_atom_site_fract_y
_atom_site_fract_z
_atom_site_occupancy
Li1 Li 0.194 0.079 0.325 1
Li2 Li 0.806 0.921 0.675 1
Fe1 Fe 0.216 0.681 0.601 1
Fe2 Fe 0.244 0.765 0.099 1
Fe3 Fe 0.756 0.235 0.901 1
Fe4 Fe 0.784 0.319 0.399 1
P1 P 0.126 0.977 0.802 1
P2 P 0.237 0.299 0.838 1
P3 P 0.270 0.427 0.386 1
P4 P 0.730 0.573 0.614 1
P5 P 0.763 0.701 0.162 1
P6 P 0.874 0.023 0.198 1
O1 O 0.041 0.290 0.930 1
O2 O 0.106 0.299 0.389 1
O3 O 0.114 0.974 0.160 1
O4 O 0.130 0.895 0.690 1
O5 O 0.218 0.166 0.748 1
O6 O 0.231 0.492 0.759 1
O7 O 0.242 0.849 0.446 1
O8 O 0.246 0.587 0.268 1
O9 O 0.256 0.487 0.509 1
O10 O 0.263 0.864 0.912 1
O11 O 0.414 0.492 0.030 1
O12 O 0.449 0.227 0.902 1
O13 O 0.486 0.299 0.374 1
O14 O 0.514 0.701 0.626 1
O15 O 0.551 0.773 0.098 1
O16 O 0.586 0.508 0.970 1
O17 O 0.737 0.136 0.088 1
O18 O 0.744 0.513 0.491 1
O19 O 0.754 0.413 0.732 1
O20 O 0.758 0.151 0.554 1
O21 O 0.769 0.508 0.241 1
O22 O 0.782 0.834 0.252 1
O23 O 0.870 0.105 0.310 1
O24 O 0.886 0.026 0.840 1
O25 O 0.894 0.701 0.611 1
O26 O 0.959 0.710 0.070 1
```

Principal peaks in the range 2θ = 5–70°, in order of rising 2θ:
- 2θ = 12.73°, rel. 47.0
- 2θ = 16.99°, rel. 56.1
- 2θ = 18.01°, rel. 64.1
- 2θ = 23.04°, rel. 100.0
- 2θ = 25.61°, rel. 32.2
- 2θ = 28.43°, rel. 45.8
- 2θ = 29.08°, rel. 14.6
- 2θ = 31.51°, rel. 23.5

---

Record 3
# LiFePO4
Theoretical XRD peak list, copper Kα. Input: a structure optimized by DFT (PBE+U).
Peak positions follow from Bragg's law for the DFT cell and can differ from measured ones.

```
data_LiFePO4
_chemical_formula_sum 'Li2 Fe2 P2 O8'
_cell_length_a 5.155
_cell_length_b 5.155
_cell_length_c 8.203
_cell_angle_alpha 92.27
_cell_angle_beta 92.27
_cell_angle_gamma 120.16
_space_group_name_H-M_alt 'P 1'
_space_group_IT_number 1
loop_
_space_group_symop_operation_xyz
'x,y,z'
loop_
_atom_site_label
_atom_site_type_symbol
_atom_site_fract_x
_atom_site_fract_y
_atom_site_fract_z
_atom_site_occupancy
Li1 Li 0.077 0.923 0.500 1
Li2 Li 0.923 0.077 0.000 1
Fe1 Fe 0.233 0.638 0.167 1
Fe2 Fe 0.638 0.233 0.667 1
P1 P 0.254 0.567 0.758 1
P2 P 0.567 0.254 0.258 1
O1 O 0.035 0.606 0.638 1
O2 O 0.102 0.488 0.923 1
O3 O 0.280 0.297 0.690 1
O4 O 0.297 0.280 0.190 1
O5 O 0.488 0.102 0.423 1
O6 O 0.564 0.861 0.776 1
O7 O 0.606 0.035 0.138 1
O8 O 0.861 0.564 0.276 1
```

Principal peaks in the range 2θ = 5–70°, in order of rising 2θ:
- 2θ = 19.91°, rel. 100.0
- 2θ = 21.74°, rel. 83.5
- 2θ = 22.09°, rel. 21.0
- 2θ = 22.68°, rel. 30.5
- 2θ = 34.83°, rel. 23.3
- 2θ = 35.01°, rel. 21.2
- 2θ = 39.98°, rel. 24.5
- 2θ = 40.60°, rel. 18.2

---

Record 4
# LiFePO4
Theoretical XRD peak list, copper Kα. Input: a structure optimized by DFT (PBE+U).
Peak positions follow from Bragg's law for the DFT cell and can differ from measured ones.

```
data_LiFePO4
_chemical_formula_sum 'Li1 Fe1 P1 O4'
_cell_length_a 5.563
_cell_length_b 5.563
_cell_length_c 5.563
_cell_angle_alpha 133.75
_cell_angle_beta 133.75
_cell_angle_gamma 67.48
_space_group_name_H-M_alt 'P 1'
_space_group_IT_number 1
loop_
_space_group_symop_operation_xyz
'x,y,z'
loop_
_atom_site_label
_atom_site_type_symbol
_atom_site_fract_x
_atom_site_fract_y
_atom_site_fract_z
_atom_site_occupancy
Li1 Li 0.000 0.000 0.000 1
Fe1 Fe 0.750 0.250 0.500 1
P1 P 0.500 0.500 0.000 1
O1 O 0.178 0.217 0.589 1
O2 O 0.410 0.822 0.039 1
O3 O 0.628 0.590 0.411 1
O4 O 0.783 0.372 0.961 1
```

Principal peaks in the range 2θ = 5–70°, in order of rising 2θ:
- 2θ = 22.50°, rel. 100.0
- 2θ = 34.92°, rel. 65.9
- 2θ = 35.63°, rel. 15.4
- 2θ = 47.56°, rel. 14.8
- 2θ = 55.68°, rel. 15.0
- 2θ = 58.08°, rel. 18.5
- 2θ = 59.87°, rel. 8.6
- 2θ = 67.94°, rel. 5.9

---

Record 5
# LiFePO4
Theoretical XRD peak list, copper Kα. Input: a structure optimized by DFT (PBE+U).
Peak positions follow from Bragg's law for the DFT cell and can differ from measured ones.

```
data_LiFePO4
_chemical_formula_sum 'Li2 Fe2 P2 O8'
_cell_length_a 5.004
_cell_length_b 5.004
_cell_length_c 8.591
_cell_angle_alpha 105.20
_cell_angle_beta 105.20
_cell_angle_gamma 61.26
_space_group_name_H-M_alt 'P 1'
_space_group_IT_number 1
loop_
_space_group_symop_operation_xyz
'x,y,z'
loop_
_atom_site_label
_atom_site_type_symbol
_atom_site_fract_x
_atom_site_fract_y
_atom_site_fract_z
_atom_site_occupancy
Li1 Li 0.195 0.805 0.500 1
Li2 Li 0.805 0.195 0.000 1
Fe1 Fe 0.547 0.942 0.244 1
Fe2 Fe 0.942 0.547 0.744 1
P1 P 0.165 0.577 0.121 1
P2 P 0.577 0.165 0.621 1
O1 O 0.015 0.671 0.276 1
O2 O 0.199 0.853 0.092 1
O3 O 0.301 0.491 0.645 1
O4 O 0.491 0.301 0.145 1
O5 O 0.493 0.948 0.473 1
O6 O 0.671 0.015 0.776 1
O7 O 0.853 0.199 0.592 1
O8 O 0.948 0.493 0.973 1
```

Principal peaks in the range 2θ = 5–70°, in order of rising 2θ:
- 2θ = 21.64°, rel. 100.0
- 2θ = 21.72°, rel. 35.9
- 2θ = 27.48°, rel. 10.4
- 2θ = 35.20°, rel. 19.0
- 2θ = 35.40°, rel. 19.4
- 2θ = 35.95°, rel. 32.3
- 2θ = 41.84°, rel. 12.2
- 2θ = 42.94°, rel. 13.6

---

Record 6
# LiFeP2O7
Theoretical XRD peak list, copper Kα. Input: a structure optimized by DFT (PBE+U).
Peak positions follow from Bragg's law for the DFT cell and can differ from measured ones.

```
data_LiFeP2O7
_chemical_formula_sum 'Li4 Fe4 P8 O28'
_cell_length_a 7.269
_cell_length_b 8.121
_cell_length_c 9.616
_cell_angle_alpha 90.00
_cell_angle_beta 106.06
_cell_angle_gamma 90.00
_space_group_name_H-M_alt 'P 1'
_space_group_IT_number 1
loop_
_space_group_symop_operation_xyz
'x,y,z'
loop_
_atom_site_label
_atom_site_type_symbol
_atom_site_fract_x
_atom_site_fract_y
_atom_site_fract_z
_atom_site_occupancy
Li1 Li 0.194 0.019 0.209 1
Li2 Li 0.194 0.481 0.709 1
Li3 Li 0.806 0.519 0.291 1
Li4 Li 0.806 0.981 0.791 1
Fe1 Fe 0.196 0.564 0.239 1
Fe2 Fe 0.196 0.936 0.739 1
Fe3 Fe 0.804 0.064 0.261 1
Fe4 Fe 0.804 0.436 0.761 1
P1 P 0.176 0.239 0.952 1
P2 P 0.176 0.261 0.452 1
P3 P 0.391 0.743 0.539 1
P4 P 0.391 0.757 0.039 1
P5 P 0.609 0.243 0.961 1
P6 P 0.609 0.257 0.461 1
P7 P 0.824 0.739 0.548 1
P8 P 0.824 0.761 0.048 1
O1 O 0.062 0.115 0.364 1
O2 O 0.062 0.385 0.864 1
O3 O 0.103 0.079 0.865 1
O4 O 0.103 0.421 0.365 1
O5 O 0.173 0.236 0.107 1
O6 O 0.173 0.264 0.607 1
O7 O 0.303 0.739 0.372 1
O8 O 0.303 0.761 0.872 1
O9 O 0.330 0.594 0.099 1
O10 O 0.330 0.906 0.599 1
O11 O 0.361 0.590 0.616 1
O12 O 0.361 0.910 0.116 1
O13 O 0.383 0.226 0.433 1
O14 O 0.383 0.274 0.933 1
O15 O 0.617 0.726 0.067 1
O16 O 0.617 0.774 0.567 1
O17 O 0.639 0.090 0.884 1
O18 O 0.639 0.410 0.384 1
O19 O 0.670 0.094 0.401 1
O20 O 0.670 0.406 0.901 1
O21 O 0.697 0.239 0.128 1
O22 O 0.697 0.261 0.628 1
O23 O 0.827 0.736 0.393 1
O24 O 0.827 0.764 0.893 1
O25 O 0.897 0.579 0.635 1
O26 O 0.897 0.921 0.135 1
O27 O 0.938 0.615 0.136 1
O28 O 0.938 0.885 0.636 1
```

Principal peaks in the range 2θ = 5–70°, in order of rising 2θ:
- 2θ = 17.47°, rel. 71.0
- 2θ = 21.01°, rel. 46.2
- 2θ = 22.14°, rel. 47.0
- 2θ = 23.94°, rel. 32.5
- 2θ = 25.50°, rel. 37.2
- 2θ = 27.81°, rel. 64.6
- 2θ = 29.28°, rel. 100.0
- 2θ = 29.59°, rel. 42.4